For Si3Mo2, a cell relaxed with GGA-PBE gives the simulated powder XRD pattern in this record (copper Kα).

Largest 8 diffraction maxima, in order of falling intensity, 5° ≤ 2θ ≤ 70°:
2θ (°), I (rel.)
38.33, 100
47.24, 53
18.32, 36
62.68, 27
35.09, 21
9.13, 19
46.89, 18
37.14, 18

Crystal structure
```
Si3Mo2
1.0
1.482 0.856 9.688
-1.482 0.856 9.688
0.000 -1.711 9.688
Si Mo
3 2
direct
0.000 0.000 0.000 Si
0.200 0.200 0.200 Si
0.800 0.800 0.800 Si
0.401 0.401 0.401 Mo
0.599 0.599 0.599 Mo
```